Calculated X-ray powder pattern
Compound: BaMn2As2O6
Radiation: a wavelength of 1.5418 Å
Structure: a GGA+U-relaxed structure
Kinematic intensities with the Lorentz-polarization factor, no thermal factor.

Atomic structure:
```
data_BaMn2As2O6
_symmetry_space_group_name_H-M 'P -1'
_symmetry_Int_Tables_number 2
_cell_length_a 5.203
_cell_length_b 5.942
_cell_length_c 6.812
_cell_angle_alpha 78.47
_cell_angle_beta 70.82
_cell_angle_gamma 83.28
loop_
_symmetry_equiv_pos_as_xyz
'x,y,z'
'-x,-y,-z'
loop_
_atom_site_label
_atom_site_type_symbol
_atom_site_fract_x
_atom_site_fract_y
_atom_site_fract_z
Ba1 Ba 0.000 0.000 0.000
Mn1 Mn 0.043 0.752 0.540
As1 As 0.445 0.435 0.847
O1 O 0.174 0.010 0.320
O2 O 0.215 0.524 0.344
O3 O 0.249 0.677 0.770
```

Largest 10 diffraction maxima, low angle first, 2θ = 10–90°:
hkl 1 0 0, 18.1°, rel. 25; hkl 1 1 0, 23.1°, rel. 100; hkl 1 -1 0, 24.4°, rel. 45; hkl 1 -1 1, 26.6°, rel. 47; hkl 1 0 2, 28.3°, rel. 77; hkl 0 1 2, 29.7°, rel. 68; hkl 1 1 -1, 31.2°, rel. 39; hkl 0 2 -1, 36.1°, rel. 36; hkl 2 1 2, 39.1°, rel. 42; hkl -2 2 1, 54.0°, rel. 26